Structure and calculated powder XRD pattern of Na5TaS4Br2 (the GGA-PBE geometry in Alexandria; copper Kα).
Intensities are scaled so that the largest is 100.

Largest 10 diffraction maxima, by angle, 10° ≤ 2θ ≤ 80°:
(0 1 1), 2θ 14.91, 5.943 Å, rel. 86.0; (1 1 1), 2θ 18.29, 4.851 Å, rel. 83.9; (1 2 0), 2θ 18.88, 4.699 Å, rel. 79.8; (2 0 0), 2θ 21.16, 4.199 Å, rel. 36.9; (2 1 1), 2θ 25.98, 3.430 Å, rel. 88.8; (0 3 1), 2θ 26.82, 3.324 Å, rel. 87.3; (1 0 2), 2θ 27.68, 3.222 Å, rel. 35.3; (2 2 2), 2θ 37.06, 2.426 Å, rel. 100.0; (0 3 3), 2θ 45.81, 1.981 Å, rel. 25.2; (2 5 1), 2θ 47.38, 1.919 Å, rel. 30.7

Cell and atoms:
```
data_Na5TaS4Br2
_cell_length_a 8.398
_cell_length_b 11.341
_cell_length_c 6.979
_cell_angle_alpha 90.00
_cell_angle_beta 90.00
_cell_angle_gamma 90.00
_space_group_name_H-M_alt 'A m m 2'
_space_group_IT_number 38
loop_
_space_group_symop_operation_xyz
'x,y,z'
'-x,-y,z'
'-x,y,z'
'x,-y,z'
'x,y+1/2,z+1/2'
'-x,-y+1/2,z+1/2'
'-x,y+1/2,z+1/2'
'x,-y+1/2,z+1/2'
loop_
_atom_site_label
_atom_site_type_symbol
_atom_site_fract_x
_atom_site_fract_y
_atom_site_fract_z
Na1 Na 0.000 0.000 0.000
Na2 Na 0.263 0.192 0.477
Ta1 Ta 0.500 0.000 0.005
S1 S 0.282 0.000 0.201
S2 S 0.500 0.162 0.806
Br1 Br 0.000 0.191 0.741
```

---

Structure and calculated powder XRD pattern of Pm4Pr2NdEr (the GGA-PBE geometry in Alexandria; copper Kα).
Intensities are scaled so that the largest is 100.

Largest 10 diffraction maxima, by angle, 10° ≤ 2θ ≤ 80°:
(0 4 0), 2θ 26.47, 3.367 Å, rel. 51.5; (0 0 2), 2θ 29.67, 3.011 Å, rel. 37.7; (4 0 0), 2θ 29.78, 3.000 Å, rel. 76.2; (4 4 0), 2θ 40.23, 2.242 Å, rel. 100.0; (4 0 2), 2θ 52.72, 1.736 Å, rel. 14.7; (4 4 2), 2θ 59.94, 1.543 Å, rel. 19.7; (8 4 -2), 2θ 60.12, 1.539 Å, rel. 10.4; (8 0 0), 2θ 61.84, 1.500 Å, rel. 9.4; (4 8 0), 2θ 63.33, 1.469 Å, rel. 25.6; (8 4 0), 2θ 68.47, 1.370 Å, rel. 13.9

Cell and atoms:
```
data_Pm4Pr2NdEr
_cell_length_a 13.843
_cell_length_b 13.468
_cell_length_c 6.946
_cell_angle_alpha 90.00
_cell_angle_beta 119.89
_cell_angle_gamma 90.00
_space_group_name_H-M_alt 'C 1 2/c 1'
_space_group_IT_number 15
loop_
_space_group_symop_operation_xyz
'x,y,z'
'-x,-y,-z'
'-x,y,-z+1/2'
'x,-y,z+1/2'
'x+1/2,y+1/2,z'
'-x+1/2,-y+1/2,-z'
'-x+1/2,y+1/2,-z+1/2'
'x+1/2,-y+1/2,z+1/2'
loop_
_atom_site_label
_atom_site_type_symbol
_atom_site_fract_x
_atom_site_fract_y
_atom_site_fract_z
Pm1 Pm 0.000 0.243 0.000
Pm2 Pm 0.245 0.000 0.473
Pr1 Pr 0.000 0.500 0.000
Pr2 Pr 0.250 0.250 0.000
Nd1 Nd 0.250 0.250 0.500
Er1 Er 0.000 0.000 0.000
```

---

Structure and calculated powder XRD pattern of K12BiAu6 (the GGA-PBE geometry in Alexandria; copper Kα).
Intensities are scaled so that the largest is 100.

Largest 10 diffraction maxima, by angle, 10° ≤ 2θ ≤ 80°:
(2 0 0), 2θ 15.32, 5.783 Å, rel. 81.3; (2 2 0), 2θ 21.73, 4.089 Å, rel. 17.6; (3 1 0), 2θ 24.33, 3.658 Å, rel. 18.1; (3 2 1), 2θ 28.88, 3.091 Å, rel. 100.0; (4 1 1), 2θ 32.85, 2.726 Å, rel. 27.8; (4 1 3), 2θ 39.73, 2.268 Å, rel. 68.9; (5 2 1), 2θ 42.82, 2.112 Å, rel. 16.6; (6 0 0), 2θ 47.14, 1.928 Å, rel. 17.9; (5 4 1), 2θ 51.18, 1.785 Å, rel. 24.6; (7 3 4), 2θ 69.97, 1.345 Å, rel. 19.1

Cell and atoms:
```
data_K12BiAu6
_cell_length_a 11.567
_cell_length_b 11.567
_cell_length_c 11.567
_cell_angle_alpha 90.00
_cell_angle_beta 90.00
_cell_angle_gamma 90.00
_space_group_name_H-M_alt 'I m -3'
_space_group_IT_number 204
_space_group_name_Hall '-I 2 2 3'
loop_
_atom_site_label
_atom_site_type_symbol
_atom_site_fract_x
_atom_site_fract_y
_atom_site_fract_z
K1 K 0.000 0.175 0.298
Bi1 Bi 0.000 0.000 0.000
Au1 Au 0.000 0.376 0.500
```

---

Structure and calculated powder XRD pattern of CoCuIr6 (the GGA-PBE geometry in Alexandria; copper Kα).
Intensities are scaled so that the largest is 100.

Largest 10 diffraction maxima, by angle, 10° ≤ 2θ ≤ 80°:
(2 0 0), 2θ 23.29, 3.819 Å, rel. 4.0; (2 0 -2), 2θ 26.13, 3.410 Å, rel. 12.1; (1 1 -2), 2θ 33.24, 2.695 Å, rel. 3.4; (1 1 2), 2θ 40.99, 2.202 Å, rel. 100.0; (2 0 2), 2θ 42.71, 2.117 Å, rel. 3.4; (4 0 0), 2θ 47.63, 1.909 Å, rel. 32.5; (0 2 0), 2θ 47.81, 1.902 Å, rel. 16.1; (6 0 -2), 2θ 65.89, 1.418 Å, rel. 2.0; (2 0 4), 2θ 69.64, 1.350 Å, rel. 10.4; (4 2 0), 2θ 69.79, 1.348 Å, rel. 20.8

Cell and atoms:
```
data_CoCuIr6
_cell_length_a 8.538
_cell_length_b 3.805
_cell_length_c 7.637
_cell_angle_alpha 90.00
_cell_angle_beta 116.55
_cell_angle_gamma 90.00
_space_group_name_H-M_alt 'C 1 2/m 1'
_space_group_IT_number 12
loop_
_space_group_symop_operation_xyz
'x,y,z'
'-x,-y,-z'
'-x,y,-z'
'x,-y,z'
'x+1/2,y+1/2,z'
'-x+1/2,-y+1/2,-z'
'-x+1/2,y+1/2,-z'
'x+1/2,-y+1/2,z'
loop_
_atom_site_label
_atom_site_type_symbol
_atom_site_fract_x
_atom_site_fract_y
_atom_site_fract_z
Co1 Co 0.000 0.000 0.000
Cu1 Cu 0.000 0.000 0.500
Ir1 Ir 0.001 0.500 0.244
Ir2 Ir 0.250 0.000 0.374
Ir3 Ir 0.250 0.000 0.876
```

---

Structure and calculated powder XRD pattern of InPb (the GGA-PBE geometry in Alexandria; copper Kα).
Intensities are scaled so that the largest is 100.

Largest 10 diffraction maxima, by angle, 10° ≤ 2θ ≤ 80°:
(0 0 4), 2θ 30.71, 2.912 Å, rel. 30.3; (0 2 0), 2θ 31.24, 2.863 Å, rel. 29.7; (1 1 2), 2θ 33.31, 2.690 Å, rel. 100.0; (0 2 4), 2θ 44.37, 2.042 Å, rel. 22.3; (1 1 6), 2θ 56.27, 1.635 Å, rel. 21.4; (1 3 2), 2θ 56.92, 1.618 Å, rel. 21.7; (2 0 4), 2θ 60.80, 1.523 Å, rel. 8.7; (2 2 0), 2θ 61.11, 1.516 Å, rel. 8.8; (2 2 4), 2θ 69.95, 1.345 Å, rel. 11.6; (1 3 6), 2θ 74.61, 1.272 Å, rel. 9.5

Cell and atoms:
```
data_InPb
_cell_length_a 3.575
_cell_length_b 5.727
_cell_length_c 11.647
_cell_angle_alpha 90.00
_cell_angle_beta 90.00
_cell_angle_gamma 90.00
_space_group_name_H-M_alt 'C m m e'
_space_group_IT_number 67
_space_group_name_Hall '-C 2a 2'
loop_
_atom_site_label
_atom_site_type_symbol
_atom_site_fract_x
_atom_site_fract_y
_atom_site_fract_z
In1 In 0.000 0.250 0.119
Pb1 Pb 0.000 0.250 0.631
```

---

Structure and calculated powder XRD pattern of YTaGa4 (the GGA-PBE geometry in Alexandria; copper Kα).
Intensities are scaled so that the largest is 100.

Largest 10 diffraction maxima, by angle, 10° ≤ 2θ ≤ 80°:
(1 1 1), 2θ 20.51, 4.330 Å, rel. 8.8; (2 0 0), 2θ 23.73, 3.750 Å, rel. 5.7; (2 2 0), 2θ 33.81, 2.651 Å, rel. 48.4; (3 1 1), 2θ 39.87, 2.261 Å, rel. 100.0; (2 2 2), 2θ 41.72, 2.165 Å, rel. 23.5; (3 3 1), 2θ 53.24, 1.720 Å, rel. 2.1; (4 2 0), 2θ 54.74, 1.677 Å, rel. 2.9; (4 2 2), 2θ 60.48, 1.531 Å, rel. 18.0; (3 3 3), 2θ 64.57, 1.443 Å, rel. 31.5; (4 4 0), 2θ 71.11, 1.326 Å, rel. 23.6

Cell and atoms:
```
data_YTaGa4
_cell_length_a 7.499
_cell_length_b 7.499
_cell_length_c 7.499
_cell_angle_alpha 90.00
_cell_angle_beta 90.00
_cell_angle_gamma 90.00
_space_group_name_H-M_alt 'F -4 3 m'
_space_group_IT_number 216
_space_group_name_Hall 'F -4 2 3'
loop_
_atom_site_label
_atom_site_type_symbol
_atom_site_fract_x
_atom_site_fract_y
_atom_site_fract_z
Y1 Y 0.000 0.000 0.000
Ta1 Ta 0.250 0.250 0.750
Ga1 Ga 0.124 0.124 0.376
```